Starting from a structure optimized by DFT (PBE), the powder X-ray diffraction pattern of SnS5 was calculated for copper Kα.

Peak list (6 most intense, 2θ from 10° to 90°, in order of rising 2θ)
two_theta, I_rel, hkl
15.2, 100, 0 0 2
25.3, 36, 0 1 1
25.8, 54, 1 0 1
26.8, 43, 1 1 0
32.0, 48, 0 1 3
33.4, 45, 1 0 3

abc: 3.9662 3.9804 11.7901
angles: 81.31 84.08 64.38
Atoms (fractional coordinates):
1 Sn 0.0000 0.0000 0.0000
2 S 0.3367 0.2173 0.5656
3 S 0.3457 0.3728 0.8912
4 S 0.4077 0.3383 0.2952
5 S 0.5607 0.4640 0.4491
6 S 0.6114 0.5690 0.1578